Calculated powder XRD pattern of Co7O12 for Cu Kα X-rays, from a cell relaxed with GGA+U.
No peak broadening, texture or thermal motion is included.

Atomic structure:
a = 4.8697 Å, b = 8.4938 Å, c = 9.4725 Å
α = 90.00°, β = 99.04°, γ = 90.00°
Space group C2 (No. 5)
Inequivalent atoms, fractional coordinates:
Co (0.0000, 0.0000, 0.0000) x2
Co (0.0000, 0.1131, 0.5000) x2
Co (0.0000, 0.3303, 0.0000) x2
Co (0.0000, 0.4470, 0.5000) x2
Co (0.0000, 0.7789, 0.5000) x2
Co (0.1953, 0.7823, 0.2306) x4
O (0.1124, 0.1654, 0.8901) x4
O (0.1228, 0.2812, 0.3963) x4
O (0.1378, 0.6181, 0.3909) x4
O (0.1392, 0.8464, 0.8882) x4
O (0.1430, 0.9395, 0.3924) x4
O (0.1648, 0.4626, 0.8837) x4

Top 12 peaks for 10° ≤ 2θ ≤ 80°, in order of falling intensity:
| h k l | 2θ/deg | d_spacing | intensity |
| --- | --- | --- | --- |
| 1 3 -3 | 45.33 | 2.000 | 100 |
| 0 0 2 | 18.97 | 4.677 | 92 |
| 1 1 1 | 24.46 | 3.639 | 57 |
| 2 0 2 | 45.01 | 2.014 | 56 |
| 0 2 0 | 20.92 | 4.247 | 31 |
| 2 0 0 | 37.36 | 2.407 | 26 |
| 1 3 1 | 38.88 | 2.316 | 25 |
| 0 2 2 | 28.39 | 3.144 | 23 |
| 1 1 -3 | 33.41 | 2.682 | 22 |
| 3 3 -1 | 66.39 | 1.408 | 22 |
| 1 3 5 | 65.21 | 1.431 | 22 |
| 1 1 -1 | 22.05 | 4.031 | 21 |